Starting from the GGA-PBE geometry in Alexandria, the powder diffraction line list of HoGe2Pt7 was calculated for Cu Kα (λ = 1.5418 Å).
Intensities are scaled so that the largest is 100.

Principal peaks in the range 15 to 90 degrees two-theta, in order of rising 2θ:
2θ = 30.9°, intensity 22
2θ = 32.2°, intensity 17
2θ = 34.9°, intensity 16
2θ = 35.6°, intensity 23
2θ = 40.8°, intensity 100
2θ = 44.3°, intensity 52
2θ = 57.6°, intensity 16
2θ = 64.4°, intensity 17
2θ = 72.1°, intensity 15
2θ = 79.2°, intensity 30

Atomic structure:
```
HoGe2Pt7
1.0
-2.045 2.045 10.279
2.045 -2.045 10.279
2.045 2.045 -10.279
Ho Ge Pt
1 2 7
Direct
0.000 0.000 0.000
0.325 0.325 0.000
0.675 0.675 0.000
0.103 0.603 0.500
0.250 0.750 0.500
0.397 0.897 0.500
0.500 0.500 0.000
0.603 0.103 0.500
0.750 0.250 0.500
0.897 0.397 0.500
```